Starting from the GGA-PBE geometry in the Materials Project, the powder diffractogram of LaSiBO5 was calculated for Cu Kα, 1.54184 Å.
Intensities are scaled so that the largest is 100.

Largest 10 diffraction maxima, sorted by position, 2θ = 15–90°:
- (0 1 1), d 4.497, 2θ = 19.7°, rel. 90
- (1 1 0), d 3.442, 2θ = 25.9°, rel. 97
- (2 0 0), d 2.980, 2θ = 30.0°, rel. 47
- (1 0 2), d 2.970, 2θ = 30.1°, rel. 100
- (0 2 2), d 2.250, 2θ = 40.1°, rel. 48
- (2 1 1), d 2.140, 2θ = 42.2°, rel. 59
- (1 1 3), d 1.903, 2θ = 47.8°, rel. 23
- (1 2 2), d 1.882, 2θ = 48.4°, rel. 66
- (3 1 0), d 1.653, 2θ = 55.6°, rel. 20
- (2 1 4), d 1.363, 2θ = 68.9°, rel. 21

Atomic structure:
```
data_LaSiBO5
_chemical_formula_sum 'La3 Si3 B3 O15'
_symmetry_space_group_name_H-M 'P 31 2 1'
_symmetry_Int_Tables_number 152
_cell_length_a 6.8831
_cell_length_b 6.8831
_cell_length_c 6.8499
_cell_angle_alpha 90.00
_cell_angle_beta 90.00
_cell_angle_gamma 120.00
loop_
_symmetry_equiv_pos_as_xyz
'x,y,z'
'-y,x-y,z+1/3'
'-x+y,-x,z+2/3'
'y,x,-z'
'x-y,-y,-z+2/3'
'-x,-x+y,-z+1/3'
loop_
_atom_site_label
_atom_site_type_symbol
_atom_site_fract_x
_atom_site_fract_y
_atom_site_fract_z
La1 La 0.0000 0.6011 0.1667
Si1 Si 0.0000 0.5826 0.6667
B1 B 0.0000 0.1082 0.1667
O1 O 0.0000 0.0388 0.6667
O2 O 0.1377 0.5317 0.5024
O3 O 0.1526 0.8087 0.8055
```